This entry pairs a crystal structure of BaAg9Pd2 with its theoretical X-ray diffraction stick pattern. Radiation: Cu Kα, 1.54184 Å. Structure: DFT lattice parameters and positions (GGA-PBE).

Structural model:
abc: 11.4721 11.4721 7.4224
angles: 90.00 90.00 90.00
Space group I4_1/amd (No. 141, origin choice 2)
One atom of each set of equivalent atoms:
Ba 0.0000 0.2500 0.3750 x4
Ag 0.0000 0.2500 0.8750 x4
Ag 0.1229 0.0452 0.6849 x32
Pd 0.0000 0.0000 0.0000 x8

Peak list (10 most intense, 2θ = 5–70°, low angle first)
| d (Å) | I (rel.) |
| --- | --- |
| 2.924 | 30 |
| 2.594 | 93 |
| 2.565 | 76 |
| 2.419 | 36 |
| 2.269 | 26 |
| 2.229 | 31 |
| 2.192 | 100 |
| 2.110 | 48 |
| 1.487 | 29 |
| 1.397 | 16 |